Diffraction record for Hg2W2O7. The powder diffractogram is calculated, not measured: it uses a structure optimized by DFT (PBE+U) and Cu Kα, 1.54184 Å.
Kinematic intensities with the Lorentz-polarization factor, no thermal factor.

Cell lengths 6.3482, 3.8659, 14.8575 Å; angles 90.00, 104.29, 90.00 degrees
Fractional positions:
1 Hg 0.1521 0.1624 0.0592
2 Hg 0.1521 0.8376 0.5592
3 Hg 0.8479 0.1624 0.4408
4 Hg 0.8479 0.8376 0.9408
5 W 0.3074 0.4581 0.3114
6 W 0.3074 0.5419 0.8114
7 W 0.6926 0.4581 0.1886
8 W 0.6926 0.5419 0.6886
9 O 0.0000 0.4405 0.2500
10 O 0.0000 0.5595 0.7500
11 O 0.2943 0.4453 0.4290
12 O 0.2943 0.5547 0.9290
13 O 0.3063 0.0531 0.7978
14 O 0.3063 0.9469 0.2978
15 O 0.3721 0.4443 0.1691
16 O 0.3721 0.5557 0.6691
17 O 0.6279 0.4443 0.3309
18 O 0.6279 0.5557 0.8309
19 O 0.6937 0.0531 0.7022
20 O 0.6937 0.9469 0.2022
21 O 0.7057 0.4453 0.0710
22 O 0.7057 0.5547 0.5710

Main lines, low angle first (10 to 80 degrees two-theta):
d 3.507, 25.40°, intensity 100
d 3.406, 26.16°, intensity 61
d 3.139, 28.43°, intensity 40
d 3.121, 28.61°, intensity 41
d 3.076, 29.03°, intensity 31
d 2.818, 31.75°, intensity 44
d 2.452, 36.65°, intensity 37
d 1.812, 50.36°, intensity 37